For BaHoMgCo2O6, a crystal structure in the Materials Project, relaxed with GGA+U gives the simulated XRD peak list in this record (Cu Ka).
Kinematic intensities with the Lorentz-polarization factor, no thermal factor.

Principal peaks in the range 2θ = 10–90°, by angle:
two_theta, d (Å), Rel. int.
27.91, 3.196, 100
29.02, 3.077, 87
32.37, 2.766, 76
33.30, 2.691, 75
37.16, 2.420, 39
47.12, 1.929, 57
55.65, 1.652, 45
57.52, 1.602, 26
57.68, 1.598, 23
60.14, 1.539, 23

```
BaHoMgCo2O6
1.0
3.703 0.000 0.000
0.000 5.531 0.000
0.000 0.000 7.832
Ba Ho Mg Co O
1 1 1 2 6
Direct
0.000 0.000 0.000
0.000 0.000 0.500
0.000 0.500 0.500
0.500 0.500 0.234
0.500 0.500 0.766
0.000 0.500 0.258
0.000 0.500 0.742
0.500 0.000 0.313
0.500 0.000 0.687
0.500 0.500 0.000
0.500 0.500 0.500
```

***

For YFeGe2O7, a crystal structure in the Materials Project, relaxed with GGA+U gives the simulated XRD peak list in this record (Cu Ka).
Kinematic intensities with the Lorentz-polarization factor, no thermal factor.

Principal peaks in the range 2θ = 10–90°, by angle:
two_theta, d (Å), Rel. int.
26.79, 3.328, 32
27.60, 3.232, 100
29.83, 2.995, 42
33.76, 2.655, 10
34.06, 2.632, 29
35.58, 2.523, 14
41.54, 2.174, 11
47.23, 1.925, 16
53.08, 1.725, 17
58.98, 1.566, 12

```
YFeGe2O7
1.0
5.427 -4.348 0.000
5.427 4.348 0.000
-3.058 0.000 5.990
Y Fe Ge O
2 2 4 14
Direct
0.207 0.793 0.000
0.793 0.207 0.000
0.304 0.696 0.500
0.696 0.304 0.500
0.219 0.219 0.517
0.303 0.303 0.077
0.697 0.697 0.923
0.781 0.781 0.483
0.052 0.725 0.597
0.132 0.132 0.031
0.214 0.568 0.171
0.275 0.948 0.403
0.317 0.317 0.814
0.365 0.365 0.459
0.432 0.786 0.829
0.568 0.214 0.171
0.635 0.635 0.541
0.683 0.683 0.186
0.725 0.052 0.597
0.786 0.432 0.829
0.868 0.868 0.969
0.948 0.275 0.403
```

***

For CaMnSnWO6, a crystal structure in the Materials Project, relaxed with GGA+U gives the simulated XRD peak list in this record (Cu Ka).
Kinematic intensities with the Lorentz-polarization factor, no thermal factor.

Principal peaks in the range 2θ = 10–90°, by angle:
two_theta, d (Å), Rel. int.
18.94, 4.685, 38
21.91, 4.057, 11
31.18, 2.869, 100
36.73, 2.447, 20
44.67, 2.029, 33
48.93, 1.862, 9
55.48, 1.656, 40
59.16, 1.562, 8
65.02, 1.434, 20
73.86, 1.283, 18

```
CaMnSnWO6
1.0
0.000 4.057 4.057
4.057 0.000 4.057
4.057 4.057 0.000
Ca Mn Sn W O
1 1 1 1 6
Direct
0.000 0.000 0.000
0.250 0.250 0.250
0.500 0.500 0.500
0.750 0.750 0.750
0.511 0.511 0.989
0.511 0.989 0.511
0.511 0.989 0.989
0.989 0.511 0.511
0.989 0.511 0.989
0.989 0.989 0.511
```

***

For Ho6WO12, a crystal structure in the Materials Project, relaxed with GGA+U gives the simulated XRD peak list in this record (Cu Ka).
Kinematic intensities with the Lorentz-polarization factor, no thermal factor.

Principal peaks in the range 2θ = 10–90°, by angle:
two_theta, d (Å), Rel. int.
27.82, 3.207, 32
28.55, 3.127, 100
32.87, 2.725, 47
46.70, 1.945, 28
47.64, 1.909, 27
55.23, 1.663, 12
56.07, 1.640, 25
56.49, 1.629, 13
59.09, 1.563, 11
76.95, 1.239, 9

```
Ho6WO12
1.0
5.050 2.916 3.207
-5.050 2.916 3.207
0.000 -5.831 3.207
Ho W O
6 1 12
Direct
0.107 0.642 0.810
0.190 0.893 0.358
0.358 0.190 0.893
0.642 0.810 0.107
0.810 0.107 0.642
0.893 0.358 0.190
0.500 0.500 0.500
0.067 0.324 0.906
0.094 0.933 0.676
0.210 0.530 0.430
0.324 0.906 0.067
0.430 0.210 0.530
0.470 0.570 0.790
0.530 0.430 0.210
0.570 0.790 0.470
0.676 0.094 0.933
0.790 0.470 0.570
0.906 0.067 0.324
0.933 0.676 0.094
```

***

For Li3FeP2O8, a crystal structure in the Materials Project, relaxed with GGA+U gives the simulated XRD peak list in this record (Cu Ka).
Kinematic intensities with the Lorentz-polarization factor, no thermal factor.

Principal peaks in the range 2θ = 10–90°, by angle:
two_theta, d (Å), Rel. int.
12.85, 6.889, 28
24.08, 3.696, 100
31.20, 2.867, 10
33.09, 2.707, 28
35.51, 2.528, 15
37.91, 2.373, 11
40.96, 2.203, 8
49.32, 1.848, 15
57.25, 1.609, 8
62.23, 1.492, 10

```
Li3FeP2O8
1.0
8.758 0.000 0.000
-4.379 7.585 0.000
0.000 0.000 6.889
Li Fe P O
9 3 6 24
Direct
0.000 0.000 0.000
0.070 0.699 0.786
0.301 0.371 0.786
0.333 0.667 0.980
0.371 0.070 0.214
0.629 0.930 0.786
0.667 0.333 0.020
0.699 0.629 0.214
0.930 0.301 0.214
0.000 0.000 0.500
0.333 0.667 0.546
0.667 0.333 0.454
0.028 0.682 0.256
0.318 0.346 0.256
0.346 0.028 0.744
0.654 0.972 0.256
0.682 0.654 0.744
0.972 0.318 0.744
0.049 0.195 0.702
0.126 0.727 0.063
0.133 0.511 0.746
0.146 0.951 0.702
0.158 0.706 0.422
0.195 0.146 0.298
0.273 0.399 0.063
0.294 0.452 0.422
0.377 0.867 0.746
0.399 0.126 0.937
0.452 0.158 0.578
0.489 0.623 0.746
0.511 0.377 0.254
0.548 0.842 0.422
0.601 0.874 0.063
0.623 0.133 0.254
0.706 0.548 0.578
0.727 0.601 0.937
0.805 0.854 0.702
0.842 0.294 0.578
0.854 0.049 0.298
0.867 0.489 0.254
0.874 0.273 0.937
0.951 0.805 0.298
```